(1)
Diffraction record for MgCo2Mo2O8. The powder X-ray diffraction pattern is calculated, not measured: it uses a cell relaxed with PBE+U and a wavelength of 1.5418 Å.
Kinematic intensities with the Lorentz-polarization factor, no thermal factor.

Cell and atoms:
a = 5.2567 Å, b = 5.6431 Å, c = 5.8014 Å
α = 86.50°, β = 72.40°, γ = 86.22°
Space group P1 (No. 1)
Symmetry-distinct sites (fractional):
Mg1 0.0000 0.0000 0.0000 (multiplicity 1)
Co1 0.8724 0.9981 0.5317 (multiplicity 1)
Co2 0.9372 0.4974 0.7646 (multiplicity 1)
Mo1 0.4362 0.7209 0.4133 (multiplicity 1)
Mo2 0.4371 0.2729 0.1210 (multiplicity 1)
O1 0.1306 0.8104 0.7084 (multiplicity 1)
O2 0.1838 0.3208 0.9666 (multiplicity 1)
O3 0.2164 0.9414 0.2387 (multiplicity 1)
O4 0.2445 0.4246 0.4442 (multiplicity 1)
O5 0.6306 0.5680 0.0883 (multiplicity 1)
O6 0.6580 0.0487 0.2943 (multiplicity 1)
O7 0.6941 0.6697 0.5633 (multiplicity 1)
O8 0.7489 0.1808 0.8288 (multiplicity 1)

Principal peaks in the range 10 to 90 degrees two-theta, in order of rising 2θ:
Position (°2θ)  I/Imax
20.06  75.1
22.06  90.6
23.05  30.1
26.58  81.4
27.40  61.6
34.76  30.9
35.84  100.0
44.76  50.7
45.18  46.3
52.14  33.4


(2)
Diffraction record for MgCo2Mo2O8. The powder X-ray diffraction pattern is calculated, not measured: it uses a cell relaxed with PBE+U and a wavelength of 1.5418 Å.
Kinematic intensities with the Lorentz-polarization factor, no thermal factor.

Cell and atoms:
a = 4.9978 Å, b = 5.1553 Å, c = 5.6918 Å
α = 86.69°, β = 87.11°, γ = 88.24°
Space group P1 (No. 1)
Symmetry-distinct sites (fractional):
Mg1 0.0000 0.0000 0.0000 (multiplicity 1)
Co1 0.0082 0.6838 0.6260 (multiplicity 1)
Co2 0.0579 0.2072 0.3859 (multiplicity 1)
Mo1 0.5105 0.2172 0.8252 (multiplicity 1)
Mo2 0.5412 0.6672 0.1661 (multiplicity 1)
O1 0.2134 0.0454 0.6802 (multiplicity 1)
O2 0.2894 0.5346 0.3839 (multiplicity 1)
O3 0.2929 0.5275 0.8986 (multiplicity 1)
O4 0.3394 0.0344 0.1421 (multiplicity 1)
O5 0.7109 0.8446 0.8523 (multiplicity 1)
O6 0.7646 0.3434 0.0931 (multiplicity 1)
O7 0.7660 0.3490 0.6127 (multiplicity 1)
O8 0.8323 0.8358 0.3184 (multiplicity 1)

Principal peaks in the range 10 to 90 degrees two-theta, in order of rising 2θ:
Position (°2θ)  I/Imax
23.15  72.7
24.32  71.3
28.15  60.8
29.73  62.4
29.85  100.0
30.19  99.9
34.88  52.0
35.25  41.6
49.67  47.6
52.84  42.9


(3)
Diffraction record for MgCo2Mo2O8. The powder X-ray diffraction pattern is calculated, not measured: it uses a cell relaxed with PBE+U and a wavelength of 1.5418 Å.
Kinematic intensities with the Lorentz-polarization factor, no thermal factor.

Cell and atoms:
a = 4.9245 Å, b = 5.9555 Å, c = 5.1279 Å
α = 90.00°, β = 92.60°, γ = 90.00°
Space group P2 (No. 3)
Symmetry-distinct sites (fractional):
Mg1 0.0000 0.0000 0.0000 (multiplicity 1)
Co1 0.5000 0.2540 0.5000 (multiplicity 1)
Co2 0.5000 0.9580 0.0000 (multiplicity 1)
Mo1 0.0000 0.4650 0.0000 (multiplicity 1)
Mo2 0.0000 0.7657 0.5000 (multiplicity 1)
O1 0.2071 0.5035 0.6886 (multiplicity 2)
O2 0.2165 0.7421 0.1739 (multiplicity 2)
O3 0.2489 0.9747 0.6750 (multiplicity 2)
O4 0.2528 0.2326 0.1554 (multiplicity 2)

Principal peaks in the range 10 to 90 degrees two-theta, in order of rising 2θ:
Position (°2θ)  I/Imax
18.03  35.8
23.46  98.1
28.79  100.0
29.80  88.2
34.85  74.9
35.03  37.4
49.51  32.5
50.75  43.3
52.00  51.3
62.70  47.7


(4)
Diffraction record for MgCo2Mo2O8. The powder X-ray diffraction pattern is calculated, not measured: it uses a cell relaxed with PBE+U and a wavelength of 1.5418 Å.
Kinematic intensities with the Lorentz-polarization factor, no thermal factor.

Cell and atoms:
a = 4.9584 Å, b = 5.9299 Å, c = 5.1482 Å
α = 90.00°, β = 92.66°, γ = 90.00°
Space group P2 (No. 3)
Symmetry-distinct sites (fractional):
Mg1 0.0000 0.0000 0.0000 (multiplicity 1)
Co1 0.0000 0.4504 0.0000 (multiplicity 1)
Co2 0.5000 0.6913 0.0000 (multiplicity 1)
Mo1 0.0000 0.8989 0.5000 (multiplicity 1)
Mo2 0.5000 0.2547 0.5000 (multiplicity 1)
O1 0.1512 0.7199 0.7891 (multiplicity 2)
O2 0.1918 0.1797 0.7266 (multiplicity 2)
O3 0.2974 0.9751 0.2878 (multiplicity 2)
O4 0.3437 0.4545 0.2423 (multiplicity 2)

Principal peaks in the range 10 to 90 degrees two-theta, in order of rising 2θ:
Position (°2θ)  I/Imax
22.89  86.1
23.40  41.3
28.70  100.0
29.72  87.5
34.91  42.2
35.28  54.7
36.27  31.9
49.40  28.7
49.82  39.2
51.11  39.0


(5)
Diffraction record for MgCo2Te2Mo2O12. The powder X-ray diffraction pattern is calculated, not measured: it uses a cell relaxed with PBE+U and a wavelength of 1.5418 Å.
Kinematic intensities with the Lorentz-polarization factor, no thermal factor.

Cell and atoms:
a = 5.1082 Å, b = 10.2002 Å, c = 5.3170 Å
α = 90.00°, β = 91.14°, γ = 90.00°
Space group P2 (No. 3)
Symmetry-distinct sites (fractional):
Mg1 0.0000 0.0000 0.0000 (multiplicity 1)
Co1 0.0000 0.5188 0.0000 (multiplicity 1)
Co2 0.5000 0.4750 0.5000 (multiplicity 1)
Te1 0.0000 0.7120 0.5000 (multiplicity 1)
Te2 0.5000 0.2801 0.0000 (multiplicity 1)
Mo1 0.0000 0.2356 0.5000 (multiplicity 1)
Mo2 0.5000 0.7687 0.0000 (multiplicity 1)
O1 0.1270 0.1229 0.7458 (multiplicity 2)
O2 0.2205 0.5947 0.3132 (multiplicity 2)
O3 0.2519 0.6708 0.8018 (multiplicity 2)
O4 0.2700 0.8824 0.1493 (multiplicity 2)
O5 0.2705 0.3998 0.8154 (multiplicity 2)
O6 0.2724 0.3185 0.3137 (multiplicity 2)

Principal peaks in the range 10 to 90 degrees two-theta, in order of rising 2θ:
Position (°2θ)  I/Imax
17.39  48.4
23.92  24.0
24.41  23.3
24.67  25.3
29.72  100.0
30.13  95.1
33.72  23.0
35.16  29.9
49.54  22.5
50.59  21.5